No. 1
Structure and computed X-ray powder pattern of NaScHgBi (a structure optimized by DFT (PBE); Cu Kα).
Neutral-atom scattering factors, no anomalous dispersion.

Structure:
```
NaScHgBi
1.0
7.3739 0.0000 0.0000
0.0000 7.3739 0.0000
0.0000 0.0000 7.3739
Na Sc Hg Bi
4 4 4 4
direct
0.0000 0.0000 0.0000
0.0000 0.5000 0.5000
0.5000 0.0000 0.5000
0.5000 0.5000 0.0000
0.0000 0.0000 0.5000
0.0000 0.5000 0.0000
0.5000 0.0000 0.0000
0.5000 0.5000 0.5000
0.2500 0.2500 0.2500
0.2500 0.7500 0.7500
0.7500 0.2500 0.7500
0.7500 0.7500 0.2500
0.2500 0.2500 0.7500
0.2500 0.7500 0.2500
0.7500 0.2500 0.2500
0.7500 0.7500 0.7500
```

Peak list (10 most intense, 2θ from 10° to 90°, sorted by position)
- 24.14°, 3.687 Å, intensity 60
- 34.40°, 2.607 Å, intensity 100
- 42.47°, 2.129 Å, intensity 19
- 49.44°, 1.843 Å, intensity 18
- 55.75°, 1.649 Å, intensity 27
- 61.62°, 1.505 Å, intensity 37
- 72.51°, 1.304 Å, intensity 12
- 77.70°, 1.229 Å, intensity 14
- 82.78°, 1.166 Å, intensity 17
- 87.81°, 1.112 Å, intensity 8

No. 2
Structure and computed X-ray powder pattern of NaSr2HgBi (a structure optimized by DFT (PBE); Cu Kα).
Neutral-atom scattering factors, no anomalous dispersion.

Structure:
```
NaSr2HgBi
1.0
6.2769 0.0000 0.0000
0.0000 6.2769 0.0000
0.0000 0.0000 5.3986
Na Sr Hg Bi
1 2 1 1
direct
0.0000 0.0000 0.0000
0.0000 0.5000 0.0000
0.5000 0.0000 0.0000
0.5000 0.5000 0.5000
0.0000 0.0000 0.5000
```

Peak list (10 most intense, 2θ from 10° to 90°, sorted by position)
- 20.00°, 4.438 Å, intensity 19
- 25.99°, 3.429 Å, intensity 100
- 28.44°, 3.138 Å, intensity 47
- 33.19°, 2.699 Å, intensity 16
- 40.65°, 2.219 Å, intensity 18
- 44.26°, 2.047 Å, intensity 29
- 48.89°, 1.863 Å, intensity 37
- 53.45°, 1.714 Å, intensity 17
- 55.07°, 1.668 Å, intensity 13
- 70.65°, 1.333 Å, intensity 13

No. 3
Structure and computed X-ray powder pattern of Nd6Hg5Bi (a structure optimized by DFT (PBE); Cu Kα).
Neutral-atom scattering factors, no anomalous dispersion.

Structure:
```
Nd6Hg5Bi
1.0
8.6623 -3.8441 0.0000
8.6623 3.8441 0.0000
-1.7171 0.0000 5.1890
Nd Hg Bi
6 5 1
direct
0.0811 0.5830 0.3322
0.2475 0.7525 0.0000
0.4170 0.9189 0.6678
0.5830 0.0811 0.3322
0.7525 0.2475 0.0000
0.9189 0.4170 0.6678
0.0000 0.0000 0.5000
0.1661 0.1661 0.1658
0.3257 0.3257 0.8254
0.6743 0.6743 0.1746
0.8339 0.8339 0.8342
0.5000 0.5000 0.5000
```

Peak list (10 most intense, 2θ from 10° to 90°, sorted by position)
- 32.67°, 2.741 Å, intensity 20
- 32.82°, 2.729 Å, intensity 100
- 46.95°, 1.935 Å, intensity 15
- 47.29°, 1.922 Å, intensity 7
- 58.41°, 1.580 Å, intensity 15
- 58.54°, 1.577 Å, intensity 16
- 58.70°, 1.573 Å, intensity 15
- 68.84°, 1.364 Å, intensity 9
- 78.08°, 1.224 Å, intensity 7
- 78.65°, 1.216 Å, intensity 7